# 1
# ZnCdSe2
Calculated PXRD pattern, Cu Kα. Input: a structure optimized by DFT (GGA-PBE).
Peak positions follow from Bragg's law for the DFT cell and can differ from measured ones.

Lattice parameters (Å, degrees): 6.1902 11.1311 6.1724 90.00 90.00 90.00
Space group Ibam (No. 72)
Symmetry-distinct sites (fractional):
Zn  0.0000  0.0000  0.2500
Cd  0.0000  0.5000  0.2500
Se  0.2222  0.1337  0.0000

The 6 most intense peaks (2θ from 10° to 90°), in order of falling intensity:
- 2θ 43.78, d 2.068, I 100, (0 4 2)
- 2θ 25.92, d 3.437, I 90, (1 2 1)
- 2θ 15.92, d 5.566, I 83, (0 2 0)
- 2θ 33.16, d 2.702, I 80, (0 2 2)
- 2θ 41.31, d 2.185, I 59, (2 0 2)
- 2θ 44.54, d 2.034, I 24, (2 2 2)

***

# 2
# InPd2Se2
Calculated PXRD pattern, Cu Kα. Input: a structure optimized by DFT (GGA-PBE).
Peak positions follow from Bragg's law for the DFT cell and can differ from measured ones.

Lattice parameters (Å, degrees): 7.9268 7.9268 3.0969 90.00 90.00 90.00
Space group P4/mbm (No. 127)
Symmetry-distinct sites (fractional):
In  0.0000  0.0000  0.0000
Pd  0.1595  0.3405  0.5000
Se  0.1509  0.6509  0.0000

The 6 most intense peaks (2θ from 10° to 90°), in order of falling intensity:
- 2θ 38.60, d 2.332, I 100, (2 1 1)
- 2θ 35.82, d 2.507, I 77, (3 1 0)
- 2θ 70.88, d 1.329, I 22, (5 2 1)
- 2θ 71.63, d 1.317, I 19, (3 1 2)
- 2θ 56.33, d 1.633, I 19, (4 1 1)
- 2θ 36.83, d 2.440, I 17, (2 0 1)

***

# 3
# Sc4BC4
Calculated PXRD pattern, Cu Kα. Input: a structure optimized by DFT (GGA-PBE).
Peak positions follow from Bragg's law for the DFT cell and can differ from measured ones.

Lattice parameters (Å, degrees): 3.3368 3.3368 30.2416 90.00 90.00 90.00
Space group P4/mmm (No. 123)
Symmetry-distinct sites (fractional):
Sc  0.0000  0.0000  0.0466
Sc  0.0000  0.0000  0.1896
Sc  0.0000  0.0000  0.2993
Sc  0.0000  0.0000  0.4441
Sc  0.5000  0.5000  0.1180
Sc  0.5000  0.5000  0.3717
B  0.5000  0.5000  0.2434
B  0.5000  0.5000  0.5000
C  0.0000  0.0000  0.1152
C  0.0000  0.0000  0.3717
C  0.5000  0.5000  0.0234
C  0.5000  0.5000  0.1946
C  0.5000  0.5000  0.2918
C  0.5000  0.5000  0.4517

The 6 most intense peaks (2θ from 10° to 90°), in order of falling intensity:
- 2θ 38.14, d 2.359, I 100, (1 1 0)
- 2θ 35.90, d 2.502, I 92, (1 0 8)
- 2θ 55.04, d 1.668, I 29, (2 0 0)
- 2θ 53.18, d 1.722, I 28, (1 1 12)
- 2θ 35.63, d 2.520, I 26, (0 0 12)
- 2θ 67.48, d 1.388, I 26, (2 1 8)

***

# 4
# Dy4Y5Tm4
Calculated PXRD pattern, Cu Kα. Input: a structure optimized by DFT (GGA-PBE).
Peak positions follow from Bragg's law for the DFT cell and can differ from measured ones.

Lattice parameters (Å, degrees): 12.7595 12.7595 4.9919 90.00 90.00 90.00
Space group I4/m (No. 87)
Symmetry-distinct sites (fractional):
Dy  0.0763  0.3843  0.0000
Y  0.0000  0.0000  0.0000
Y  0.0383  0.1931  0.5000
Tm  0.1549  0.7684  0.0000

The 6 most intense peaks (2θ from 10° to 90°), in order of falling intensity:
- 2θ 30.98, d 2.887, I 100, (3 2 1)
- 2θ 35.92, d 2.500, I 50, (1 5 0)
- 2θ 51.71, d 1.768, I 35, (6 4 0)
- 2θ 61.46, d 1.509, I 28, (8 1 1)
- 2θ 61.59, d 1.506, I 14, (3 2 3)
- 2θ 64.56, d 1.443, I 12, (6 4 2)

***

# 5
# Na4V
Calculated PXRD pattern, Cu Kα. Input: a structure optimized by DFT (GGA-PBE).
Peak positions follow from Bragg's law for the DFT cell and can differ from measured ones.

Lattice parameters (Å, degrees): 5.9033 5.9033 5.9033 90.00 90.00 90.00
Space group Pm-3m (No. 221)
Symmetry-distinct sites (fractional):
Na  0.0000  0.0000  0.0000
Na  0.0000  0.5000  0.5000
V  0.5000  0.5000  0.5000

The 6 most intense peaks (2θ from 10° to 90°), in order of falling intensity:
- 2θ 30.28, d 2.952, I 100, (2 0 0)
- 2θ 43.35, d 2.087, I 71, (2 2 0)
- 2θ 15.01, d 5.903, I 68, (1 0 0)
- 2θ 21.29, d 4.174, I 58, (1 1 0)
- 2θ 33.96, d 2.640, I 33, (2 1 0)
- 2θ 71.47, d 1.320, I 27, (4 2 0)

***

# 6
# Ba2Zn3In
Calculated PXRD pattern, Cu Kα. Input: a structure optimized by DFT (GGA-PBE).
Peak positions follow from Bragg's law for the DFT cell and can differ from measured ones.

Lattice parameters (Å, degrees): 11.5778 5.0587 8.1958 90.00 134.09 90.00
Space group Cm (No. 8)
Symmetry-distinct sites (fractional):
Ba  0.0000  0.0000  0.0000
Ba  0.0057  0.5000  0.6119
Zn  0.1780  0.5000  0.4010
Zn  0.1804  0.0000  0.5686
Zn  0.3178  0.0000  0.0277
In  0.3217  0.5000  0.2138

The 6 most intense peaks (2θ from 10° to 90°), in order of falling intensity:
- 2θ 29.97, d 2.981, I 100, (3 1 -1)
- 2θ 29.74, d 3.004, I 84, (1 1 1)
- 2θ 37.42, d 2.404, I 66, (3 1 -3)
- 2θ 35.49, d 2.529, I 61, (0 2 0)
- 2θ 30.19, d 2.961, I 52, (3 1 -2)
- 2θ 34.35, d 2.611, I 36, (4 0 -1)